Starting from a structure optimized by DFT (GGA-PBE), the powder diffraction line list of Si3Mo2 was simulated for Cu Kα (λ = 1.5418 Å).

Cell and atoms:
```
data_Si3Mo2
_cell_length_a 4.3210
_cell_length_b 4.3210
_cell_length_c 5.0260
_cell_angle_alpha 90.00
_cell_angle_beta 90.00
_cell_angle_gamma 120.00
_space_group_name_H-M_alt 'P -3 m 1'
_space_group_IT_number 164
_space_group_name_Hall '-P 3 2"'
loop_
_atom_site_label
_atom_site_type_symbol
_atom_site_fract_x
_atom_site_fract_y
_atom_site_fract_z
Si1 Si 0.0000 0.0000 0.0000
Si2 Si 0.3333 0.6667 0.3868
Mo1 Mo 0.3333 0.6667 0.8826
```

Top 10 peaks for 15° ≤ 2θ ≤ 90°, by angle:
- 17.65°, d = 5.026 Å, rel. 61
- 23.78°, d = 3.742 Å, rel. 52
- 29.77°, d = 3.002 Å, rel. 43
- 41.81°, d = 2.161 Å, rel. 93
- 43.37°, d = 2.086 Å, rel. 100
- 45.71°, d = 1.985 Å, rel. 31
- 60.55°, d = 1.529 Å, rel. 11
- 61.82°, d = 1.501 Å, rel. 34
- 76.33°, d = 1.248 Å, rel. 21
- 77.43°, d = 1.233 Å, rel. 36